[1]
Structure and calculated powder XRD pattern of BaO (a structure optimized by DFT (GGA-PBE); Cu Kα X-rays).
Neutral-atom scattering factors, no anomalous dispersion.

Crystal structure
```
data_BaO
_space_group_name_H-M_alt 'P 63/m'
_space_group_IT_number 176
_space_group_name_Hall '-P 6c'
_cell_length_a 10.1473
_cell_length_b 10.1473
_cell_length_c 4.4565
_cell_angle_alpha 90.00
_cell_angle_beta 90.00
_cell_angle_gamma 120.00
loop_
_atom_site_label
_atom_site_fract_x
_atom_site_fract_y
_atom_site_fract_z
Ba1 0.0792 0.6742 0.2500
O1 0.0747 0.4154 0.2500
```

Top 12 peaks for 2θ = 10–90°, low angle first:
(1 0 0), 10.07°, 8.788 Å, I = 33
(1 1 0), 17.48°, 5.074 Å, I = 65
(1 0 1), 22.37°, 3.975 Å, I = 39
(1 1 1), 26.62°, 3.348 Å, I = 100
(2 1 0), 26.84°, 3.321 Å, I = 74
(2 0 1), 28.53°, 3.129 Å, I = 29
(3 0 0), 30.52°, 2.929 Å, I = 22
(1 2 1), 33.65°, 2.663 Å, I = 40
(1 3 1), 42.26°, 2.138 Å, I = 21
(4 0 1), 46.06°, 1.971 Å, I = 54
(2 1 2), 49.24°, 1.850 Å, I = 28
(3 2 1), 49.63°, 1.837 Å, I = 26

=====

[2]
Structure and calculated powder XRD pattern of AcPm8Er5 (a structure optimized by DFT (GGA-PBE); Cu Kα X-rays).
Neutral-atom scattering factors, no anomalous dispersion.

Crystal structure
```
data_AcPm8Er5
_space_group_name_H-M_alt 'I -4'
_space_group_IT_number 82
_cell_length_a 9.679
_cell_length_b 9.679
_cell_length_c 10.447
_cell_angle_alpha 90.00
_cell_angle_beta 90.00
_cell_angle_gamma 90.00
loop_
_space_group_symop_operation_xyz
'x,y,z'
'y,-x,-z'
'-x,-y,z'
'-y,x,-z'
'x+1/2,y+1/2,z+1/2'
'y+1/2,-x+1/2,-z+1/2'
'-x+1/2,-y+1/2,z+1/2'
'-y+1/2,x+1/2,-z+1/2'
loop_
_atom_site_label
_atom_site_fract_x
_atom_site_fract_y
_atom_site_fract_z
Ac1 0.000 0.000 0.000
Pm1 0.071 0.825 0.355
Pm2 0.093 0.667 0.000
Er1 0.000 0.500 0.250
Er2 0.117 0.704 0.679
```

Top 12 peaks for 2θ = 10–90°, low angle first:
(2 1 1), 22.23°, 3.999 Å, I = 21
(1 0 3), 27.21°, 3.277 Å, I = 59
(3 0 1), 28.96°, 3.083 Å, I = 76
(3 1 0), 29.18°, 3.061 Å, I = 69
(2 2 2), 31.25°, 2.863 Å, I = 24
(1 2 3), 33.01°, 2.713 Å, I = 100
(3 1 2), 33.95°, 2.641 Å, I = 47
(2 3 1), 34.49°, 2.600 Å, I = 57
(5 1 2), 51.20°, 1.784 Å, I = 18
(2 4 4), 55.11°, 1.667 Å, I = 19
(5 2 3), 57.72°, 1.597 Å, I = 18
(3 1 6), 61.24°, 1.513 Å, I = 22

=====

[3]
Structure and calculated powder XRD pattern of NaY2CrBr (a structure optimized by DFT (GGA-PBE); Cu Kα X-rays).
Neutral-atom scattering factors, no anomalous dispersion.

Crystal structure
```
data_NaY2CrBr
_space_group_name_H-M_alt 'P 4/m m m'
_space_group_IT_number 123
_space_group_name_Hall '-P 4 2'
_cell_length_a 5.475
_cell_length_b 5.475
_cell_length_c 5.033
_cell_angle_alpha 90.00
_cell_angle_beta 90.00
_cell_angle_gamma 90.00
loop_
_atom_site_label
_atom_site_fract_x
_atom_site_fract_y
_atom_site_fract_z
Na1 0.000 0.000 0.000
Y1 0.000 0.500 0.500
Cr1 0.500 0.500 0.000
Br1 0.000 0.000 0.500
```

Top 12 peaks for 2θ = 10–90°, low angle first:
(0 0 1), 17.62°, 5.033 Å, I = 69
(1 0 1), 24.02°, 3.705 Å, I = 48
(1 1 1), 29.10°, 3.069 Å, I = 75
(2 0 0), 32.71°, 2.738 Å, I = 100
(0 0 2), 35.68°, 2.517 Å, I = 39
(2 0 1), 37.40°, 2.405 Å, I = 40
(2 1 1), 40.99°, 2.202 Å, I = 22
(2 2 0), 46.94°, 1.936 Å, I = 35
(2 0 2), 49.18°, 1.853 Å, I = 61
(3 1 1), 56.18°, 1.637 Å, I = 21
(2 2 2), 60.32°, 1.534 Å, I = 32
(4 2 2), 88.90°, 1.101 Å, I = 21

=====

[4]
Structure and calculated powder XRD pattern of TbPrErTh (a structure optimized by DFT (GGA-PBE); Cu Kα X-rays).
Neutral-atom scattering factors, no anomalous dispersion.

Crystal structure
```
data_TbPrErTh
_space_group_name_H-M_alt 'R 3 m'
_space_group_IT_number 160
_space_group_name_Hall 'R 3 -2"'
_cell_length_a 3.6026
_cell_length_b 3.6026
_cell_length_c 34.8238
_cell_angle_alpha 90.00
_cell_angle_beta 90.00
_cell_angle_gamma 120.00
loop_
_atom_site_label
_atom_site_fract_x
_atom_site_fract_y
_atom_site_fract_z
Tb1 0.0000 0.0000 0.0000
Pr1 0.0000 0.0000 0.7534
Er1 0.0000 0.0000 0.1727
Th1 0.0000 0.0000 0.5862
```

Top 12 peaks for 2θ = 10–90°, low angle first:
(0 1 2), 29.08°, 3.071 Å, I = 36
(0 0 12), 30.81°, 2.902 Å, I = 45
(0 1 5), 31.42°, 2.847 Å, I = 100
(1 0 7), 33.92°, 2.643 Å, I = 71
(1 0 10), 38.75°, 2.324 Å, I = 26
(1 1 0), 50.68°, 1.801 Å, I = 35
(0 1 17), 53.51°, 1.712 Å, I = 25
(1 1 12), 60.49°, 1.530 Å, I = 40
(2 0 5), 60.86°, 1.522 Å, I = 16
(0 2 7), 62.38°, 1.489 Å, I = 12
(1 2 5), 83.07°, 1.163 Å, I = 13
(1 1 24), 86.04°, 1.130 Å, I = 14

=====

[5]
Structure and calculated powder XRD pattern of NdSm3Ho4 (a structure optimized by DFT (GGA-PBE); Cu Kα X-rays).
Neutral-atom scattering factors, no anomalous dispersion.

Crystal structure
```
data_NdSm3Ho4
_space_group_name_H-M_alt 'P m n 21'
_space_group_IT_number 31
_cell_length_a 11.460
_cell_length_b 7.302
_cell_length_c 6.298
_cell_angle_alpha 90.00
_cell_angle_beta 90.00
_cell_angle_gamma 90.00
loop_
_space_group_symop_operation_xyz
'x,y,z'
'-x+1/2,-y,z+1/2'
'-x,y,z'
'x+1/2,-y,z+1/2'
loop_
_atom_site_label
_atom_site_fract_x
_atom_site_fract_y
_atom_site_fract_z
Nd1 0.000 0.127 0.000
Sm1 0.000 0.872 0.500
Sm2 0.250 0.128 0.335
Ho1 0.000 0.378 0.501
Ho2 0.000 0.622 0.001
Ho3 0.250 0.378 0.834
```

Top 12 peaks for 2θ = 10–90°, low angle first:
(0 0 2), 28.28°, 3.155 Å, I = 24
(4 0 0), 31.22°, 2.865 Å, I = 25
(2 2 1), 32.39°, 2.764 Å, I = 100
(4 0 2), 42.62°, 2.121 Å, I = 16
(0 4 0), 49.96°, 1.825 Å, I = 7
(0 2 3), 50.12°, 1.820 Å, I = 13
(6 2 1), 56.30°, 1.634 Å, I = 21
(4 4 0), 60.10°, 1.539 Å, I = 8
(4 2 3), 60.24°, 1.536 Å, I = 15
(2 4 2), 60.84°, 1.523 Å, I = 11
(2 0 4), 61.03°, 1.518 Å, I = 5
(8 2 3), 86.45°, 1.126 Å, I = 6

=====

[6]
Structure and calculated powder XRD pattern of Tl4Sn2S5 (a structure optimized by DFT (GGA-PBE); Cu Kα X-rays).
Neutral-atom scattering factors, no anomalous dispersion.

Crystal structure
```
data_Tl4Sn2S5
_space_group_name_H-M_alt 'R -3 m'
_space_group_IT_number 166
_space_group_name_Hall '-R 3 2"'
_cell_length_a 4.5504
_cell_length_b 4.5504
_cell_length_c 57.5113
_cell_angle_alpha 90.00
_cell_angle_beta 90.00
_cell_angle_gamma 120.00
loop_
_atom_site_label
_atom_site_fract_x
_atom_site_fract_y
_atom_site_fract_z
Tl1 0.0000 0.0000 0.0775
Tl2 0.0000 0.0000 0.1882
Sn1 0.0000 0.0000 0.3588
S1 0.0000 0.0000 0.0000
S2 0.0000 0.0000 0.1356
S3 0.0000 0.0000 0.2820
```

Top 12 peaks for 2θ = 10–90°, low angle first:
(1 0 1), 22.62°, 3.932 Å, I = 42
(1 0 4), 23.41°, 3.801 Å, I = 27
(1 0 7), 25.06°, 3.553 Å, I = 72
(0 1 8), 25.78°, 3.456 Å, I = 32
(0 0 18), 27.92°, 3.195 Å, I = 32
(0 1 11), 28.36°, 3.147 Å, I = 100
(0 1 14), 31.46°, 2.844 Å, I = 23
(1 0 19), 37.47°, 2.400 Å, I = 36
(1 1 0), 39.61°, 2.275 Å, I = 83
(1 1 18), 49.16°, 1.853 Å, I = 43
(2 0 11), 49.43°, 1.844 Å, I = 22
(1 2 11), 65.12°, 1.432 Å, I = 20

=====

[7]
Structure and calculated powder XRD pattern of ErLuMgIr (a structure optimized by DFT (GGA-PBE); Cu Kα X-rays).
Neutral-atom scattering factors, no anomalous dispersion.

Crystal structure
```
data_ErLuMgIr
_space_group_name_H-M_alt 'F -4 3 m'
_space_group_IT_number 216
_space_group_name_Hall 'F -4 2 3'
_cell_length_a 6.999
_cell_length_b 6.999
_cell_length_c 6.999
_cell_angle_alpha 90.00
_cell_angle_beta 90.00
_cell_angle_gamma 90.00
loop_
_atom_site_label
_atom_site_fract_x
_atom_site_fract_y
_atom_site_fract_z
Er1 0.000 0.000 0.000
Lu1 0.000 0.000 0.500
Mg1 0.250 0.250 0.750
Ir1 0.250 0.250 0.250
```

Top 12 peaks for 2θ = 10–90°, low angle first:
(1 1 1), 22.00°, 4.041 Å, I = 20
(2 0 0), 25.45°, 3.500 Å, I = 6
(2 2 0), 36.30°, 2.475 Å, I = 100
(3 1 1), 42.85°, 2.110 Å, I = 11
(4 0 0), 52.28°, 1.750 Å, I = 18
(3 3 1), 57.38°, 1.606 Å, I = 5
(4 2 0), 59.02°, 1.565 Å, I = 2
(4 2 2), 65.31°, 1.429 Å, I = 36
(5 1 1), 69.83°, 1.347 Å, I = 4
(4 4 0), 77.08°, 1.237 Å, I = 11
(5 3 1), 81.33°, 1.183 Å, I = 4
(6 2 0), 88.31°, 1.107 Å, I = 17

=====

[8]
Structure and calculated powder XRD pattern of Zn2CdSn (a structure optimized by DFT (GGA-PBE); Cu Kα X-rays).
Neutral-atom scattering factors, no anomalous dispersion.

Crystal structure
```
data_Zn2CdSn
_space_group_name_H-M_alt 'R 3 m'
_space_group_IT_number 160
_space_group_name_Hall 'R 3 -2"'
_cell_length_a 3.9944
_cell_length_b 3.9944
_cell_length_c 19.7303
_cell_angle_alpha 90.00
_cell_angle_beta 90.00
_cell_angle_gamma 120.00
loop_
_atom_site_label
_atom_site_fract_x
_atom_site_fract_y
_atom_site_fract_z
Zn1 0.0000 0.0000 0.0000
Zn2 0.0000 0.0000 0.1700
Cd1 0.0000 0.0000 0.5869
Sn1 0.0000 0.0000 0.4181
```

Top 12 peaks for 2θ = 10–90°, low angle first:
(1 0 1), 26.15°, 3.407 Å, I = 26
(0 1 2), 27.32°, 3.264 Å, I = 45
(1 0 4), 31.59°, 2.832 Å, I = 15
(0 1 5), 34.48°, 2.601 Å, I = 100
(1 0 7), 41.32°, 2.185 Å, I = 55
(1 1 0), 45.41°, 1.997 Å, I = 63
(0 0 12), 55.92°, 1.644 Å, I = 11
(2 0 5), 58.24°, 1.584 Å, I = 21
(0 2 7), 63.06°, 1.474 Å, I = 15
(1 1 12), 74.79°, 1.269 Å, I = 28
(1 2 5), 76.80°, 1.241 Å, I = 19
(2 1 7), 81.08°, 1.186 Å, I = 15

=====

[9]
Structure and calculated powder XRD pattern of SrZn8Ag2 (a structure optimized by DFT (GGA-PBE); Cu Kα X-rays).
Neutral-atom scattering factors, no anomalous dispersion.

Crystal structure
```
data_SrZn8Ag2
_space_group_name_H-M_alt 'P 4/m m m'
_space_group_IT_number 123
_space_group_name_Hall '-P 4 2'
_cell_length_a 6.852
_cell_length_b 6.852
_cell_length_c 5.013
_cell_angle_alpha 90.00
_cell_angle_beta 90.00
_cell_angle_gamma 90.00
loop_
_atom_site_label
_atom_site_fract_x
_atom_site_fract_y
_atom_site_fract_z
Sr1 0.000 0.000 0.000
Zn1 0.307 0.307 0.249
Ag1 0.000 0.500 0.500
```

Top 12 peaks for 2θ = 10–90°, low angle first:
(1 0 0), 12.92°, 6.852 Å, I = 26
(1 1 1), 25.57°, 3.484 Å, I = 83
(2 1 0), 29.14°, 3.064 Å, I = 35
(2 2 0), 37.11°, 2.423 Å, I = 64
(1 0 2), 38.24°, 2.354 Å, I = 24
(3 0 0), 39.45°, 2.284 Å, I = 46
(3 1 0), 41.68°, 2.167 Å, I = 22
(2 0 2), 44.81°, 2.023 Å, I = 100
(3 1 1), 45.61°, 1.989 Å, I = 33
(3 0 2), 54.34°, 1.688 Å, I = 17
(3 2 2), 61.21°, 1.514 Å, I = 30
(3 3 2), 69.20°, 1.358 Å, I = 15

=====

[10]
Structure and calculated powder XRD pattern of ZrSnCl6 (a structure optimized by DFT (GGA-PBE); Cu Kα X-rays).
Neutral-atom scattering factors, no anomalous dispersion.

Crystal structure
```
data_ZrSnCl6
_space_group_name_H-M_alt 'P 1 c 1'
_space_group_IT_number 7
_cell_length_a 11.964
_cell_length_b 6.631
_cell_length_c 18.738
_cell_angle_alpha 90.00
_cell_angle_beta 91.68
_cell_angle_gamma 90.00
loop_
_space_group_symop_operation_xyz
'x,y,z'
'x,-y,z+1/2'
loop_
_atom_site_label
_atom_site_fract_x
_atom_site_fract_y
_atom_site_fract_z
Zr1 0.000 0.010 0.000
Zr2 0.321 0.019 0.666
Zr3 0.832 0.476 0.661
Sn1 0.171 0.493 0.328
Sn2 0.495 0.491 0.492
Sn3 0.640 0.010 0.833
Cl1 0.014 0.323 0.933
Cl2 0.152 0.144 0.437
Cl3 0.157 0.140 0.093
Cl4 0.174 0.155 0.751
Cl5 0.309 0.323 0.595
Cl6 0.326 0.296 0.243
Cl7 0.332 0.352 0.910
Cl8 0.459 0.131 0.091
Cl9 0.471 0.174 0.745
Cl10 0.491 0.149 0.417
Cl11 0.647 0.346 0.904
Cl12 0.682 0.352 0.217
Cl13 0.704 0.336 0.569
Cl14 0.832 0.187 0.737
Cl15 0.857 0.133 0.423
Cl16 0.857 0.197 0.075
Cl17 0.982 0.355 0.229
Cl18 0.989 0.295 0.585
```

Top 12 peaks for 2θ = 10–90°, low angle first:
(2 0 2), 17.86°, 4.966 Å, I = 100
(2 0 -4), 23.79°, 3.740 Å, I = 12
(1 1 4), 24.60°, 3.618 Å, I = 25
(3 1 -3), 29.49°, 3.029 Å, I = 10
(3 1 3), 30.13°, 2.966 Å, I = 10
(0 2 3), 30.53°, 2.928 Å, I = 11
(2 2 2), 32.45°, 2.759 Å, I = 10
(2 2 -4), 36.20°, 2.481 Å, I = 11
(3 1 -6), 38.58°, 2.334 Å, I = 16
(3 1 6), 39.62°, 2.275 Å, I = 30
(6 0 0), 45.54°, 1.992 Å, I = 12
(3 3 0), 47.01°, 1.933 Å, I = 14

=====

[11]
Structure and calculated powder XRD pattern of Nd4ZnSn3 (a structure optimized by DFT (GGA-PBE); Cu Kα X-rays).
Neutral-atom scattering factors, no anomalous dispersion.

Crystal structure
```
data_Nd4ZnSn3
_space_group_name_H-M_alt 'P m m 2'
_space_group_IT_number 25
_cell_length_a 4.408
_cell_length_b 4.584
_cell_length_c 11.698
_cell_angle_alpha 90.00
_cell_angle_beta 90.00
_cell_angle_gamma 90.00
loop_
_space_group_symop_operation_xyz
'x,y,z'
'-x,-y,z'
'-x,y,z'
'x,-y,z'
loop_
_atom_site_label
_atom_site_fract_x
_atom_site_fract_y
_atom_site_fract_z
Nd1 0.000 0.000 0.000
Nd2 0.000 0.500 0.490
Nd3 0.500 0.000 0.717
Nd4 0.500 0.500 0.219
Zn1 0.000 0.000 0.278
Sn1 0.000 0.500 0.766
Sn2 0.500 0.000 0.433
Sn3 0.500 0.500 0.943
```

Top 12 peaks for 2θ = 10–90°, low angle first:
(1 1 1), 29.12°, 3.066 Å, I = 100
(0 1 3), 30.09°, 2.970 Å, I = 26
(0 0 4), 30.57°, 2.925 Å, I = 30
(1 1 3), 36.48°, 2.463 Å, I = 67
(1 0 4), 36.88°, 2.437 Å, I = 19
(0 2 0), 39.31°, 2.292 Å, I = 26
(2 0 0), 40.95°, 2.204 Å, I = 24
(0 2 4), 50.60°, 1.804 Å, I = 15
(2 2 0), 58.06°, 1.589 Å, I = 17
(0 1 7), 58.81°, 1.570 Å, I = 14
(1 0 8), 67.44°, 1.389 Å, I = 15
(2 1 7), 74.15°, 1.279 Å, I = 14

=====

[12]
Structure and calculated powder XRD pattern of Zn5Ag4Au2 (a structure optimized by DFT (GGA-PBE); Cu Kα X-rays).
Neutral-atom scattering factors, no anomalous dispersion.

Crystal structure
```
data_Zn5Ag4Au2
_space_group_name_H-M_alt 'P b a m'
_space_group_IT_number 55
_cell_length_a 7.256
_cell_length_b 17.189
_cell_length_c 2.939
_cell_angle_alpha 90.00
_cell_angle_beta 90.00
_cell_angle_gamma 90.00
loop_
_space_group_symop_operation_xyz
'x,y,z'
'-x,-y,-z'
'-x,-y,z'
'x,y,-z'
'x+1/2,-y+1/2,-z'
'-x+1/2,y+1/2,z'
'-x+1/2,y+1/2,-z'
'x+1/2,-y+1/2,z'
loop_
_atom_site_label
_atom_site_fract_x
_atom_site_fract_y
_atom_site_fract_z
Zn1 0.000 0.000 0.000
Zn2 0.127 0.434 0.000
Zn3 0.229 0.202 0.000
Ag1 0.077 0.859 0.500
Ag2 0.217 0.564 0.500
Au1 0.043 0.306 0.500
```

Top 12 peaks for 2θ = 10–90°, low angle first:
(0 2 0), 10.29°, 8.595 Å, I = 22
(1 5 0), 28.74°, 3.107 Å, I = 19
(0 0 1), 30.41°, 2.939 Å, I = 26
(3 2 0), 38.69°, 2.327 Å, I = 100
(1 4 1), 39.15°, 2.301 Å, I = 80
(2 6 0), 40.11°, 2.248 Å, I = 20
(2 2 1), 40.89°, 2.207 Å, I = 73
(1 5 1), 42.33°, 2.135 Å, I = 54
(2 3 1), 42.62°, 2.121 Å, I = 26
(3 2 1), 49.99°, 1.825 Å, I = 29
(0 0 2), 63.28°, 1.470 Å, I = 19
(3 2 2), 76.69°, 1.243 Å, I = 26

=====

[13]
Structure and calculated powder XRD pattern of Y3AlC3 (a structure optimized by DFT (GGA-PBE); Cu Kα X-rays).
Neutral-atom scattering factors, no anomalous dispersion.

Crystal structure
```
data_Y3AlC3
_space_group_name_H-M_alt 'P m m a'
_space_group_IT_number 51
_cell_length_a 7.077
_cell_length_b 3.581
_cell_length_c 9.999
_cell_angle_alpha 90.00
_cell_angle_beta 90.00
_cell_angle_gamma 90.00
loop_
_space_group_symop_operation_xyz
'x,y,z'
'-x,-y,-z'
'-x+1/2,-y,z'
'x+1/2,y,-z'
'x+1/2,-y,-z'
'-x+1/2,y,z'
'-x,y,-z'
'x,-y,z'
loop_
_atom_site_label
_atom_site_fract_x
_atom_site_fract_y
_atom_site_fract_z
Y1 0.009 0.000 0.199
Y2 0.250 0.500 0.457
Al1 0.250 0.500 0.006
C1 0.008 0.000 0.566
C2 0.250 0.500 0.208
```

Top 12 peaks for 2θ = 10–90°, low angle first:
(1 0 1), 15.34°, 5.777 Å, I = 18
(0 1 1), 26.44°, 3.372 Å, I = 18
(0 0 3), 26.74°, 3.334 Å, I = 57
(0 1 2), 30.71°, 2.911 Å, I = 70
(2 0 2), 30.96°, 2.888 Å, I = 68
(2 1 0), 35.67°, 2.517 Å, I = 100
(2 1 3), 45.14°, 2.009 Å, I = 36
(0 2 0), 51.00°, 1.791 Å, I = 17
(4 0 0), 51.66°, 1.769 Å, I = 16
(2 1 5), 58.98°, 1.566 Å, I = 21
(2 2 2), 60.87°, 1.522 Å, I = 20
(4 1 2), 61.31°, 1.512 Å, I = 19